Record 1
SmSi4: simulated XRD peak list (Cu Kα X-rays), based on a PBE-relaxed structure.

Most intense lines, 5 to 70 degrees two-theta, in order of rising 2θ:
2theta, d/Å, I (rel.)
16.7, 5.305, 1000
23.7, 3.751, 878
33.8, 2.652, 555
37.9, 2.372, 518
41.7, 2.166, 397
48.5, 1.875, 390

Crystal structure
abc: 5.305 5.305 5.305
angles: 90.00 90.00 90.00
Sites, in units of the cell vectors:
1 Sm 0.000 0.000 0.000
2 Si 0.000 0.000 0.500
3 Si 0.000 0.500 0.000
4 Si 0.500 0.000 0.000
5 Si 0.500 0.500 0.500

***

Record 2
TiAlAg: simulated XRD peak list (Cu Kα X-rays), based on a PBE-relaxed structure.

Most intense lines, 5 to 70 degrees two-theta, in order of rising 2θ:
2theta, d/Å, I (rel.)
12.6, 7.047, 1000
36.2, 2.482, 543
38.3, 2.349, 478
39.9, 2.260, 692
40.2, 2.242, 332
42.0, 2.150, 660

Crystal structure
abc: 4.957 2.894 7.234
angles: 90.00 103.07 90.00
Sites, in units of the cell vectors:
1 Ti 0.219 0.000 0.145
2 Ti 0.781 0.000 0.855
3 Al 0.281 0.500 0.826
4 Al 0.719 0.500 0.174
5 Ag 0.000 0.000 0.500
6 Ag 0.500 0.500 0.500

***

Record 3
Sr3Al2Sb4: simulated XRD peak list (Cu Kα X-rays), based on a PBE-relaxed structure.

Most intense lines, 5 to 70 degrees two-theta, in order of rising 2θ:
2theta, d/Å, I (rel.)
21.0, 4.235, 825
26.7, 3.333, 691
29.3, 3.050, 604
30.1, 2.972, 620
30.6, 2.924, 856
34.7, 2.585, 1000

Crystal structure
abc: 9.243 9.243 8.067
angles: 98.07 98.07 61.85
Sites, in units of the cell vectors:
1 Sr 0.036 0.964 0.750
2 Sr 0.279 0.442 0.648
3 Sr 0.442 0.279 0.148
4 Sr 0.558 0.721 0.852
5 Sr 0.721 0.558 0.352
6 Sr 0.964 0.036 0.250
7 Al 0.027 0.345 0.982
8 Al 0.345 0.027 0.482
9 Al 0.655 0.973 0.518
10 Al 0.973 0.655 0.018
11 Sb 0.125 0.295 0.317
12 Sb 0.255 0.691 0.061
13 Sb 0.295 0.125 0.817
14 Sb 0.309 0.745 0.439
15 Sb 0.691 0.255 0.561
16 Sb 0.705 0.875 0.183
17 Sb 0.745 0.309 0.939
18 Sb 0.875 0.705 0.683

***

Record 4
Cs2PdWS4: simulated XRD peak list (Cu Kα X-rays), based on a PBE-relaxed structure.

Most intense lines, 5 to 70 degrees two-theta, in order of rising 2θ:
2theta, d/Å, I (rel.)
14.2, 6.239, 456
20.0, 4.446, 482
24.9, 3.580, 1000
26.6, 3.354, 617
34.0, 2.639, 424
38.5, 2.337, 482

Crystal structure
abc: 14.323 12.687 7.762
angles: 85.32 61.99 32.69
Sites, in units of the cell vectors:
1 Cs 0.051 0.051 0.699
2 Cs 0.301 0.301 0.949
3 Cs 0.699 0.699 0.051
4 Cs 0.949 0.949 0.301
5 Pd 0.125 0.125 0.125
6 Pd 0.875 0.875 0.875
7 W 0.375 0.375 0.375
8 W 0.625 0.625 0.625
9 S 0.009 0.636 0.556
10 S 0.299 0.556 0.636
11 S 0.364 0.991 0.701
12 S 0.444 0.701 0.991
13 S 0.556 0.299 0.009
14 S 0.636 0.009 0.299
15 S 0.701 0.444 0.364
16 S 0.991 0.364 0.444